Record 1
Diffraction record for S. The XRD peak list is calculated, not measured: it uses a GGA-PBE-relaxed structure and λ = 1.5418 Å (Cu Kα).
Peak positions follow from Bragg's law for the DFT cell and can differ from measured ones.

Most intense lines, 10° ≤ 2θ ≤ 90°, low angle first:
2θ 13.13, d 6.743, I = 36; 2θ 17.55, d 5.054, I = 100; 2θ 19.43, d 4.569, I = 21; 2θ 20.49, d 4.335, I = 62; 2θ 21.45, d 4.142, I = 49; 2θ 22.67, d 3.922, I = 30; 2θ 25.53, d 3.489, I = 29; 2θ 26.43, d 3.373, I = 34

Atomic structure:
abc: 9.248 13.642 10.897
angles: 90.00 123.00 90.00
Space group P2/c (No. 13)
Unique sites:
S: 0.082 0.172 0.214 [4 per cell]
S: 0.133 0.150 0.818 [4 per cell]
S: 0.216 0.393 0.579 [4 per cell]
S: 0.233 0.056 0.735 [4 per cell]
S: 0.266 0.474 0.020 [4 per cell]
S: 0.284 0.077 0.341 [4 per cell]
S: 0.367 0.380 0.196 [4 per cell]
S: 0.418 0.298 0.638 [4 per cell]



Record 2
Diffraction record for S. The XRD peak list is calculated, not measured: it uses a GGA-PBE-relaxed structure and λ = 1.5418 Å (Cu Kα).
Peak positions follow from Bragg's law for the DFT cell and can differ from measured ones.

Most intense lines, 10° ≤ 2θ ≤ 90°, low angle first:
2θ 25.54, d 3.488, I = 100; 2θ 29.14, d 3.065, I = 44; 2θ 33.93, d 2.642, I = 13; 2θ 34.22, d 2.620, I = 13; 2θ 45.25, d 2.004, I = 9; 2θ 48.57, d 1.874, I = 13; 2θ 49.52, d 1.841, I = 13; 2θ 52.47, d 1.744, I = 12

Atomic structure:
abc: 6.130 4.241 4.008
angles: 90.00 90.84 90.00
Space group P2_1/c (No. 14)
Unique sites:
S: 0.242 0.169 0.284 [4 per cell]



Record 3
Diffraction record for S. The XRD peak list is calculated, not measured: it uses a GGA-PBE-relaxed structure and λ = 1.5418 Å (Cu Kα).
Peak positions follow from Bragg's law for the DFT cell and can differ from measured ones.

Most intense lines, 10° ≤ 2θ ≤ 90°, low angle first:
2θ 21.47, d 4.138, I = 100; 2θ 33.67, d 2.662, I = 98; 2θ 34.26, d 2.617, I = 70; 2θ 37.11, d 2.423, I = 24; 2θ 53.90, d 1.701, I = 37; 2θ 56.72, d 1.623, I = 22; 2θ 58.68, d 1.573, I = 18; 2θ 73.93, d 1.282, I = 15

Atomic structure:
abc: 5.852 5.852 2.989
angles: 90.00 90.00 90.00
Space group P4_2/mnm (No. 136)
Unique sites:
S: 0.114 0.114 0.000 [4 per cell]



Record 4
Diffraction record for S. The XRD peak list is calculated, not measured: it uses a GGA-PBE-relaxed structure and λ = 1.5418 Å (Cu Kα).
Peak positions follow from Bragg's law for the DFT cell and can differ from measured ones.

Most intense lines, 10° ≤ 2θ ≤ 90°, low angle first:
2θ 15.89, d 5.577, I = 76; 2θ 20.10, d 4.417, I = 82; 2θ 21.04, d 4.223, I = 26; 2θ 22.07, d 4.027, I = 59; 2θ 25.27, d 3.525, I = 100; 2θ 25.94, d 3.434, I = 26; 2θ 26.71, d 3.337, I = 86; 2θ 45.29, d 2.002, I = 31

Atomic structure:
abc: 13.300 10.924 9.185
angles: 90.00 105.90 90.00
Space group C2/c (No. 15)
Unique sites:
S: 0.072 0.046 0.232 [8 per cell]
S: 0.072 0.445 0.731 [8 per cell]
S: 0.078 0.189 0.083 [8 per cell]
S: 0.160 0.413 0.354 [8 per cell]
S: 0.199 0.301 0.197 [8 per cell]



Record 5
Diffraction record for S. The XRD peak list is calculated, not measured: it uses a GGA-PBE-relaxed structure and λ = 1.5418 Å (Cu Kα).
Peak positions follow from Bragg's law for the DFT cell and can differ from measured ones.

Most intense lines, 10° ≤ 2θ ≤ 90°, low angle first:
2θ 21.70, d 4.096, I = 100; 2θ 24.28, d 3.665, I = 54; 2θ 32.43, d 2.761, I = 15; 2θ 32.58, d 2.749, I = 15; 2θ 41.22, d 2.190, I = 15; 2θ 44.01, d 2.058, I = 16; 2θ 50.78, d 1.798, I = 11; 2θ 63.04, d 1.475, I = 11

Atomic structure:
abc: 7.331 4.938 3.723
angles: 90.00 90.46 90.00
Space group P2_1/c (No. 14)
Unique sites:
S: 0.239 0.153 0.227 [4 per cell]



Record 6
Diffraction record for S. The XRD peak list is calculated, not measured: it uses a GGA-PBE-relaxed structure and λ = 1.5418 Å (Cu Kα).
Peak positions follow from Bragg's law for the DFT cell and can differ from measured ones.

Most intense lines, 10° ≤ 2θ ≤ 90°, low angle first:
2θ 34.83, d 2.576, I = 100; 2θ 50.08, d 1.821, I = 63; 2θ 62.44, d 1.487, I = 21; 2θ 73.53, d 1.288, I = 10; 2θ 84.01, d 1.152, I = 28

Atomic structure:
abc: 2.576 2.576 2.576
angles: 90.00 90.00 90.00
Space group Pm-3m (No. 221)
Unique sites:
S: 0.000 0.000 0.000 [1 per cell]



Record 7
Diffraction record for S. The XRD peak list is calculated, not measured: it uses a GGA-PBE-relaxed structure and λ = 1.5418 Å (Cu Kα).
Peak positions follow from Bragg's law for the DFT cell and can differ from measured ones.

Most intense lines, 10° ≤ 2θ ≤ 90°, low angle first:
2θ 15.21, d 5.825, I = 47; 2θ 19.19, d 4.625, I = 75; 2θ 20.33, d 4.367, I = 35; 2θ 20.86, d 4.259, I = 50; 2θ 20.99, d 4.232, I = 100; 2θ 22.75, d 3.909, I = 54; 2θ 24.96, d 3.567, I = 40; 2θ 27.19, d 3.280, I = 36

Atomic structure:
abc: 11.169 7.818 17.363
angles: 90.00 128.55 90.00
Space group P2_1/c (No. 14)
Unique sites:
S: 0.009 0.056 0.318 [4 per cell]
S: 0.145 0.019 0.660 [4 per cell]
S: 0.167 0.054 0.154 [4 per cell]
S: 0.215 0.573 0.912 [4 per cell]
S: 0.256 0.234 0.746 [4 per cell]
S: 0.298 0.048 0.022 [4 per cell]
S: 0.334 0.538 0.647 [4 per cell]
S: 0.336 0.029 0.552 [4 per cell]
S: 0.445 0.249 0.561 [4 per cell]



Record 8
Diffraction record for S. The XRD peak list is calculated, not measured: it uses a GGA-PBE-relaxed structure and λ = 1.5418 Å (Cu Kα).
Peak positions follow from Bragg's law for the DFT cell and can differ from measured ones.

Most intense lines, 10° ≤ 2θ ≤ 90°, low angle first:
2θ 14.01, d 6.320, I = 29; 2θ 18.75, d 4.732, I = 27; 2θ 19.73, d 4.500, I = 24; 2θ 20.02, d 4.436, I = 100; 2θ 22.74, d 3.911, I = 29; 2θ 24.16, d 3.683, I = 39; 2θ 25.48, d 3.496, I = 25; 2θ 26.21, d 3.400, I = 25

Atomic structure:
abc: 9.620 9.620 14.147
angles: 106.20 106.20 100.32
Space group P1 (No. 1)
Unique sites:
S: 0.000 0.000 0.000 [1 per cell]
S: 0.003 0.368 0.739 [1 per cell]
S: 0.024 0.032 0.481 [1 per cell]
S: 0.082 0.753 0.581 [1 per cell]
S: 0.094 0.177 0.150 [1 per cell]
S: 0.098 0.048 0.903 [1 per cell]
S: 0.185 0.642 0.080 [1 per cell]
S: 0.202 0.466 0.734 [1 per cell]
S: 0.260 0.123 0.250 [1 per cell]
S: 0.271 0.944 0.904 [1 per cell]
S: 0.359 0.532 0.080 [1 per cell]
S: 0.377 0.416 0.836 [1 per cell]
S: 0.388 0.832 0.403 [1 per cell]
S: 0.440 0.558 0.503 [1 per cell]
S: 0.461 0.591 0.978 [1 per cell]
S: 0.462 0.221 0.244 [1 per cell]
S: 0.478 0.097 0.002 [1 per cell]
S: 0.491 0.664 0.400 [1 per cell]
S: 0.507 0.089 0.643 [1 per cell]
S: 0.525 0.068 0.143 [1 per cell]
S: 0.533 0.042 0.503 [1 per cell]
S: 0.557 0.814 0.744 [1 per cell]
S: 0.609 0.649 0.643 [1 per cell]
S: 0.653 0.026 0.745 [1 per cell]
S: 0.805 0.567 0.239 [1 per cell]
S: 0.854 0.934 0.336 [1 per cell]
S: 0.901 0.768 0.238 [1 per cell]
S: 0.923 0.554 0.481 [1 per cell]
S: 0.937 0.521 0.834 [1 per cell]
S: 0.962 0.501 0.340 [1 per cell]
S: 0.977 0.927 0.580 [1 per cell]
S: 0.983 0.489 0.977 [1 per cell]